No. 1
Structure and computed powder diffraction line list of MgSn2Pd6 (a crystal structure in Alexandria, relaxed with GGA-PBE; CuKα).

Structural model:
```
data_MgSn2Pd6
_cell_length_a 9.6304
_cell_length_b 5.5575
_cell_length_c 7.4131
_cell_angle_alpha 90.00
_cell_angle_beta 115.74
_cell_angle_gamma 90.00
_space_group_name_H-M_alt 'C 1 2/m 1'
_space_group_IT_number 12
_space_group_name_Hall '-C 2y'
loop_
_atom_site_label
_atom_site_type_symbol
_atom_site_fract_x
_atom_site_fract_y
_atom_site_fract_z
Mg1 Mg 0.0000 0.0000 0.0000
Sn1 Sn 0.2281 0.0000 0.6847
Pd1 Pd 0.0236 0.2511 0.3208
Pd2 Pd 0.2254 0.5000 0.6800
```

Top 10 peaks for 10° ≤ 2θ ≤ 90°, in order of falling intensity:
| index | 2θ/deg | d/Å | intensity |
| --- | --- | --- | --- |
| 4 0 -2 | 38.46 | 2.340 | 100 |
| 0 0 1 | 13.26 | 6.677 | 81 |
| 2 2 -2 | 41.63 | 2.169 | 69 |
| 0 0 2 | 26.70 | 3.339 | 39 |
| 2 2 1 | 43.88 | 2.063 | 38 |
| 4 0 1 | 49.48 | 1.842 | 38 |
| 0 0 3 | 40.53 | 2.226 | 33 |
| 2 2 3 | 64.12 | 1.452 | 24 |
| 0 4 0 | 67.39 | 1.390 | 23 |
| 0 4 3 | 81.66 | 1.179 | 17 |

No. 2
Structure and computed powder diffraction line list of MgSn3Pd12 (a crystal structure in Alexandria, relaxed with GGA-PBE; CuKα).

Structural model:
```
data_MgSn3Pd12
_cell_length_a 4.0285
_cell_length_b 4.0285
_cell_length_c 16.0319
_cell_angle_alpha 90.00
_cell_angle_beta 90.00
_cell_angle_gamma 90.00
_space_group_name_H-M_alt 'P 4/m m m'
_space_group_IT_number 123
_space_group_name_Hall '-P 4 2'
loop_
_atom_site_label
_atom_site_type_symbol
_atom_site_fract_x
_atom_site_fract_y
_atom_site_fract_z
Mg1 Mg 0.0000 0.0000 0.0000
Sn1 Sn 0.0000 0.0000 0.2462
Sn2 Sn 0.0000 0.0000 0.5000
Pd1 Pd 0.0000 0.5000 0.1228
Pd2 Pd 0.0000 0.5000 0.3740
Pd3 Pd 0.5000 0.5000 0.0000
Pd4 Pd 0.5000 0.5000 0.2492
Pd5 Pd 0.5000 0.5000 0.5000
```

Top 10 peaks for 10° ≤ 2θ ≤ 90°, in order of falling intensity:
| index | 2θ/deg | d/Å | intensity |
| --- | --- | --- | --- |
| 1 1 4 | 38.78 | 2.322 | 100 |
| 2 0 0 | 45.01 | 2.014 | 33 |
| 3 1 4 | 78.84 | 1.214 | 25 |
| 2 0 8 | 65.73 | 1.421 | 21 |
| 0 0 8 | 45.25 | 2.004 | 16 |
| 1 1 12 | 79.19 | 1.210 | 12 |
| 2 2 8 | 83.22 | 1.161 | 11 |
| 2 2 0 | 65.54 | 1.424 | 11 |
| 0 0 2 | 11.04 | 8.016 | 1 |
| 1 0 3 | 27.75 | 3.215 | 1 |

No. 3
Structure and computed powder diffraction line list of Mg2SnPd2 (a crystal structure in Alexandria, relaxed with GGA-PBE; CuKα).

Structural model:
```
data_Mg2SnPd2
_cell_length_a 9.6159
_cell_length_b 6.3636
_cell_length_c 6.4581
_cell_angle_alpha 90.00
_cell_angle_beta 90.00
_cell_angle_gamma 90.00
_space_group_name_H-M_alt 'P b c m'
_space_group_IT_number 57
_space_group_name_Hall '-P 2c 2b'
loop_
_atom_site_label
_atom_site_type_symbol
_atom_site_fract_x
_atom_site_fract_y
_atom_site_fract_z
Mg1 Mg 0.0015 0.2500 0.0000
Mg2 Mg 0.3257 0.2500 0.0000
Sn1 Sn 0.3254 0.7500 0.0000
Pd1 Pd 0.1667 0.0027 0.2500
Pd2 Pd 0.4977 0.5065 0.2500
```

Top 10 peaks for 10° ≤ 2θ ≤ 90°, in order of falling intensity:
| index | 2θ/deg | d/Å | intensity |
| --- | --- | --- | --- |
| 3 0 2 | 39.62 | 2.275 | 100 |
| 0 2 2 | 39.77 | 2.266 | 100 |
| 3 2 0 | 39.92 | 2.258 | 98 |
| 1 1 1 | 21.68 | 4.100 | 55 |
| 1 1 0 | 16.71 | 5.307 | 38 |
| 3 2 4 | 71.88 | 1.313 | 36 |
| 2 1 1 | 27.04 | 3.298 | 35 |
| 3 4 2 | 72.50 | 1.304 | 34 |
| 6 2 2 | 72.19 | 1.309 | 33 |
| 0 4 0 | 57.97 | 1.591 | 20 |

No. 4
Structure and computed powder diffraction line list of Mg2Sn2Pd3 (a crystal structure in Alexandria, relaxed with GGA-PBE; CuKα).

Structural model:
```
data_Mg2Sn2Pd3
_cell_length_a 4.6084
_cell_length_b 4.6306
_cell_length_c 7.6246
_cell_angle_alpha 90.40
_cell_angle_beta 107.50
_cell_angle_gamma 119.50
_space_group_name_H-M_alt 'P -1'
_space_group_IT_number 2
_space_group_name_Hall '-P 1'
loop_
_atom_site_label
_atom_site_type_symbol
_atom_site_fract_x
_atom_site_fract_y
_atom_site_fract_z
Mg1 Mg 0.2385 0.3692 0.1080
Sn1 Sn 0.2850 0.8916 0.6774
Pd1 Pd 0.0160 0.7568 0.2737
Pd2 Pd 0.5000 0.5000 0.5000
```

Top 10 peaks for 10° ≤ 2θ ≤ 90°, in order of falling intensity:
| index | 2θ/deg | d/Å | intensity |
| --- | --- | --- | --- |
| 0 0 1 | 12.39 | 7.144 | 100 |
| 1 0 2 | 40.43 | 2.231 | 69 |
| 1 1 -1 | 38.69 | 2.327 | 57 |
| 1 -2 0 | 38.90 | 2.315 | 56 |
| -2 1 1 | 39.09 | 2.304 | 56 |
| 1 0 1 | 30.46 | 2.935 | 39 |
| -1 1 3 | 40.63 | 2.221 | 34 |
| 0 0 2 | 24.93 | 3.572 | 26 |
| 1 -1 2 | 36.94 | 2.433 | 25 |
| 2 0 -4 | 57.47 | 1.604 | 24 |

Question: What is the formula in the fourth record?
Answer: Mg2Sn2Pd3